1.
The following is a calculated powder diffractogram of Cs2NpCuO6. It was derived from a structure optimized by DFT (GGA-PBE), using CuKα.
Intensities are scaled so that the largest is 100.

Cell and atoms:
Lattice parameters (Å, degrees): 6.5817 6.5817 5.4466 90.00 90.00 120.00
Space group P-3m1 (No. 164)
Asymmetric unit:
Cs1 0.3333 0.6667 0.3194 [2 per cell]
Np1 0.0000 0.0000 0.0000 [1 per cell]
Cu1 0.0000 0.0000 0.5000 [1 per cell]
O1 0.1339 0.2678 0.7533 [6 per cell]

The 6 most intense peaks (2θ from 10° to 90°), by angle:
| d [Å] | I (rel.) | index |
| --- | --- | --- |
| 5.700 | 58 | 1 0 0 |
| 3.938 | 88 | 0 1 1 |
| 3.291 | 100 | 1 1 0 |
| 2.525 | 42 | 2 0 1 |
| 2.457 | 47 | 1 0 2 |
| 1.690 | 39 | 2 1 2 |

2.
The following is a calculated powder diffractogram of MnBeGe. It was derived from a structure optimized by DFT (GGA-PBE), using CuKα.
Intensities are scaled so that the largest is 100.

Cell and atoms:
Lattice parameters (Å, degrees): 8.150 3.538 4.890 90.00 105.37 90.00
Space group Cm (No. 8)
Asymmetric unit:
Mn1 0.000 0.000 0.000 [2 per cell]
Mn2 0.246 0.000 0.593 [2 per cell]
Be1 0.108 0.500 0.308 [2 per cell]
Be2 0.315 0.000 0.142 [2 per cell]
Ge1 0.172 0.500 0.864 [2 per cell]
Ge2 0.433 0.500 0.467 [2 per cell]

The 6 most intense peaks (2θ from 10° to 90°), by angle:
| d [Å] | I (rel.) | index |
| --- | --- | --- |
| 3.226 | 45 | 1 1 0 |
| 2.689 | 52 | 2 0 1 |
| 2.105 | 65 | 3 1 0 |
| 2.096 | 56 | 3 1 -1 |
| 2.011 | 100 | 1 1 -2 |
| 1.769 | 35 | 0 2 0 |

3.
The following is a calculated powder diffractogram of Fe4Co4Ni5. It was derived from a structure optimized by DFT (GGA-PBE), using CuKα.
Intensities are scaled so that the largest is 100.

Cell and atoms:
Lattice parameters (Å, degrees): 9.059 9.059 3.547 90.00 90.00 90.00
Space group I4/m (No. 87)
Asymmetric unit:
Fe1 0.149 0.230 0.000 [8 per cell]
Co1 0.078 0.612 0.000 [8 per cell]
Ni1 0.000 0.000 0.000 [2 per cell]
Ni2 0.039 0.809 0.500 [8 per cell]

The 3 most intense peaks (2θ from 10° to 90°), by angle:
| d [Å] | I (rel.) | index |
| --- | --- | --- |
| 2.050 | 100 | 2 3 1 |
| 1.776 | 46 | 0 0 2 |
| 1.256 | 26 | 5 1 2 |

4.
The following is a calculated powder diffractogram of Co3Ir4Rh12. It was derived from a structure optimized by DFT (GGA-PBE), using CuKα.
Intensities are scaled so that the largest is 100.

Cell and atoms:
Lattice parameters (Å, degrees): 9.178 9.178 9.178 90.00 90.00 90.00
Space group Im-3 (No. 204)
Asymmetric unit:
Co1 0.000 0.000 0.500 [6 per cell]
Ir1 0.250 0.250 0.250 [8 per cell]
Rh1 0.000 0.360 0.271 [24 per cell]

The 6 most intense peaks (2θ from 10° to 90°), by angle:
| d [Å] | I (rel.) | index |
| --- | --- | --- |
| 6.490 | 91 | 1 1 0 |
| 4.589 | 61 | 2 0 0 |
| 2.294 | 47 | 4 0 0 |
| 2.052 | 78 | 4 0 2 |
| 1.873 | 100 | 4 2 2 |
| 1.226 | 46 | 6 4 2 |

5.
The following is a calculated powder diffractogram of Ac2Mg3In. It was derived from a structure optimized by DFT (GGA-PBE), using CuKα.
Intensities are scaled so that the largest is 100.

Cell and atoms:
Lattice parameters (Å, degrees): 6.2621 6.2621 15.7534 90.00 90.00 120.00
Space group R-3m (No. 166, hexagonal axes)
Asymmetric unit:
Ac1 0.0000 0.0000 0.1283 [6 per cell]
Mg1 0.0000 0.5000 0.0000 [9 per cell]
In1 0.0000 0.0000 0.5000 [3 per cell]

The 6 most intense peaks (2θ from 10° to 90°), by angle:
| d [Å] | I (rel.) | index |
| --- | --- | --- |
| 5.251 | 51 | 0 0 3 |
| 5.128 | 27 | 1 0 1 |
| 3.187 | 42 | 1 0 4 |
| 3.131 | 94 | 1 1 0 |
| 2.724 | 41 | 0 1 5 |
| 2.689 | 100 | 1 1 3 |

6.
The following is a calculated powder diffractogram of La2TlGePd6. It was derived from a structure optimized by DFT (GGA-PBE), using CuKα.
Intensities are scaled so that the largest is 100.

Cell and atoms:
Lattice parameters (Å, degrees): 5.620 6.485 6.921 84.42 66.04 64.36
Space group P-1 (No. 2)
Asymmetric unit:
La1 0.248 0.256 0.249 [2 per cell]
Tl1 0.000 0.000 0.000 [1 per cell]
Ge1 0.500 0.500 0.500 [1 per cell]
Pd1 0.207 0.312 0.782 [2 per cell]
Pd2 0.253 0.929 0.566 [2 per cell]
Pd3 0.299 0.690 0.220 [2 per cell]

The 6 most intense peaks (2θ from 10° to 90°), by angle:
| d [Å] | I (rel.) | index |
| --- | --- | --- |
| 3.167 | 66 | 1 0 -1 |
| 3.039 | 59 | 1 2 1 |
| 2.382 | 100 | 2 0 2 |
| 2.293 | 74 | 1 0 3 |
| 2.246 | 51 | 0 2 -2 |
| 2.152 | 60 | 1 -2 1 |

7.
The following is a calculated powder diffractogram of Er3S2OF3. It was derived from a structure optimized by DFT (GGA-PBE), using CuKα.
Intensities are scaled so that the largest is 100.

Cell and atoms:
Lattice parameters (Å, degrees): 5.406 18.874 5.397 90.00 90.94 90.00
Space group Cc (No. 9)
Asymmetric unit:
Er1 0.000 0.095 0.000 [4 per cell]
Er2 0.046 0.251 0.457 [4 per cell]
Er3 0.051 0.404 0.942 [4 per cell]
S1 0.020 0.444 0.450 [4 per cell]
S2 0.035 0.055 0.488 [4 per cell]
O1 0.253 0.320 0.749 [4 per cell]
F1 0.240 0.187 0.144 [4 per cell]
F2 0.367 0.310 0.266 [4 per cell]
F3 0.368 0.188 0.633 [4 per cell]

The 6 most intense peaks (2θ from 10° to 90°), by angle:
| d [Å] | I (rel.) | index |
| --- | --- | --- |
| 3.284 | 90 | 1 3 -1 |
| 3.245 | 100 | 1 3 1 |
| 3.146 | 48 | 0 6 0 |
| 2.700 | 92 | 2 0 0 |
| 2.049 | 79 | 2 6 0 |
| 1.641 | 39 | 3 3 1 |

8.
The following is a calculated powder diffractogram of Na2HoPCO7. It was derived from a structure optimized by DFT (GGA-PBE), using CuKα.
Intensities are scaled so that the largest is 100.

Cell and atoms:
Lattice parameters (Å, degrees): 5.194 6.979 9.419 90.00 90.34 90.00
Space group P2_1/m (No. 11)
Asymmetric unit:
Na1 0.246 0.008 0.209 [4 per cell]
Ho1 0.215 0.250 0.626 [2 per cell]
P1 0.297 0.750 0.582 [2 per cell]
C1 0.255 0.250 0.916 [2 per cell]
O1 0.029 0.250 0.853 [2 per cell]
O2 0.186 0.568 0.652 [4 per cell]
O3 0.225 0.750 0.420 [2 per cell]
O4 0.284 0.250 0.049 [2 per cell]
O5 0.402 0.250 0.407 [2 per cell]
O6 0.453 0.250 0.828 [2 per cell]

The 6 most intense peaks (2θ from 10° to 90°), by angle:
| d [Å] | I (rel.) | index |
| --- | --- | --- |
| 5.607 | 92 | 0 1 1 |
| 4.167 | 76 | 1 1 0 |
| 3.494 | 100 | 0 2 0 |
| 3.479 | 56 | 1 0 2 |
| 2.769 | 57 | 1 2 -1 |
| 2.597 | 33 | 2 0 0 |

9.
The following is a calculated powder diffractogram of Dy4GePbC. It was derived from a structure optimized by DFT (GGA-PBE), using CuKα.
Intensities are scaled so that the largest is 100.

Cell and atoms:
Lattice parameters (Å, degrees): 6.733 15.668 6.737 90.00 90.00 90.00
Space group Cmcm (No. 63)
Asymmetric unit:
Dy1 0.000 0.083 0.250 [4 per cell]
Dy2 0.000 0.408 0.250 [4 per cell]
Dy3 0.250 0.250 0.000 [8 per cell]
Ge1 0.000 0.115 0.750 [4 per cell]
Pb1 0.000 0.393 0.750 [4 per cell]
C1 0.000 0.248 0.250 [4 per cell]

The 6 most intense peaks (2θ from 10° to 90°), by angle:
| d [Å] | I (rel.) | index |
| --- | --- | --- |
| 3.094 | 77 | 2 2 0 |
| 2.613 | 38 | 0 6 0 |
| 2.554 | 100 | 2 4 0 |
| 2.381 | 63 | 2 0 2 |
| 1.760 | 43 | 2 6 2 |
| 1.406 | 32 | 4 4 2 |

10.
The following is a calculated powder diffractogram of Y3Sc4Al4. It was derived from a structure optimized by DFT (GGA-PBE), using CuKα.
Intensities are scaled so that the largest is 100.

Cell and atoms:
Lattice parameters (Å, degrees): 8.398 8.398 8.398 90.00 90.00 90.00
Space group I-43m (No. 217)
Asymmetric unit:
Y1 0.000 0.000 0.500 [6 per cell]
Sc1 0.127 0.127 0.127 [8 per cell]
Al1 0.191 0.191 0.809 [8 per cell]

The 6 most intense peaks (2θ from 10° to 90°), by angle:
| d [Å] | I (rel.) | index |
| --- | --- | --- |
| 4.199 | 39 | 2 0 0 |
| 3.428 | 31 | 2 1 1 |
| 2.969 | 100 | 2 2 0 |
| 2.656 | 64 | 3 1 0 |
| 2.244 | 28 | 3 2 1 |
| 1.878 | 34 | 4 2 0 |

11.
The following is a calculated powder diffractogram of Pu4Ge8Pt. It was derived from a structure optimized by DFT (GGA-PBE), using CuKα.
Intensities are scaled so that the largest is 100.

Cell and atoms:
Lattice parameters (Å, degrees): 4.073 4.212 15.993 90.00 90.00 90.00
Space group Pmm2 (No. 25)
Asymmetric unit:
Pu1 0.000 0.000 0.000 [1 per cell]
Pu2 0.000 0.500 0.483 [1 per cell]
Pu3 0.500 0.000 0.791 [1 per cell]
Pu4 0.500 0.500 0.283 [1 per cell]
Ge1 0.000 0.000 0.324 [1 per cell]
Ge2 0.000 0.000 0.617 [1 per cell]
Ge3 0.000 0.500 0.142 [1 per cell]
Ge4 0.000 0.500 0.861 [1 per cell]
Ge5 0.500 0.000 0.142 [1 per cell]
Ge6 0.500 0.000 0.430 [1 per cell]
Ge7 0.500 0.500 0.615 [1 per cell]
Ge8 0.500 0.500 0.963 [1 per cell]
Pt1 0.000 0.500 0.706 [1 per cell]

The 6 most intense peaks (2θ from 10° to 90°), by angle:
| d [Å] | I (rel.) | index |
| --- | --- | --- |
| 3.629 | 22 | 1 0 2 |
| 2.880 | 22 | 1 1 1 |
| 2.566 | 100 | 1 1 3 |
| 2.547 | 30 | 0 1 5 |
| 2.106 | 23 | 0 2 0 |
| 2.036 | 21 | 2 0 0 |

12.
The following is a calculated powder diffractogram of MgBiF6. It was derived from a structure optimized by DFT (GGA-PBE), using CuKα.
Intensities are scaled so that the largest is 100.

Cell and atoms:
Lattice parameters (Å, degrees): 5.2813 5.2813 9.8811 90.00 90.00 120.00
Space group P-31c (No. 163)
Asymmetric unit:
Mg1 0.3333 0.6667 0.2500 [2 per cell]
Bi1 0.0000 0.0000 0.0000 [2 per cell]
F1 0.0355 0.3494 0.1288 [12 per cell]

The 6 most intense peaks (2θ from 10° to 90°), by angle:
| d [Å] | I (rel.) | index |
| --- | --- | --- |
| 4.574 | 81 | 1 0 0 |
| 3.356 | 100 | 1 0 2 |
| 2.329 | 34 | 2 -1 2 |
| 2.075 | 27 | 2 0 2 |
| 1.804 | 29 | 1 1 4 |
| 1.632 | 26 | 2 1 2 |